Structure and calculated PXRD pattern of BeMoSe2 (the PBE geometry in Alexandria; Cu Kα).

Principal peaks in the range 5 to 70 degrees two-theta, sorted by position:
2θ 11.9, d = 7.424 Å, I = 94.1, hkl 0 0 1; 2θ 28.9, d = 3.094 Å, I = 81.3, hkl 1 0 -1; 2θ 30.0, d = 2.979 Å, I = 96.1, hkl 0 1 1; 2θ 40.2, d = 2.242 Å, I = 29.9, hkl 1 1 1; 2θ 45.2, d = 2.004 Å, I = 18.0, hkl 1 0 -3; 2θ 45.4, d = 1.999 Å, I = 17.7, hkl 1 0 3; 2θ 45.7, d = 1.986 Å, I = 100.0, hkl 1 1 -2; 2θ 46.1, d = 1.969 Å, I = 16.5, hkl 0 1 3; 2θ 49.1, d = 1.856 Å, I = 17.5, hkl 0 0 4; 2θ 53.9, d = 1.702 Å, I = 17.5, hkl 2 0 0; 2θ 62.9, d = 1.478 Å, I = 22.2, hkl 2 1 -1; 2θ 64.8, d = 1.439 Å, I = 15.6, hkl 1 2 -1

Crystal structure
a b c (Å): 3.4040 3.2521 7.4235
angles (deg): 90.00 90.17 90.00
Fractional positions:
1 Be 0.0000 0.0000 0.0000
2 Mo 0.4993 0.5000 0.8946
3 Se 0.5012 0.0000 0.1757
4 Se 0.9976 0.5000 0.6489